For Pr2AlGe2Rh5, a DFT-relaxed cell (GGA-PBE, Alexandria) gives the theoretical PXRD pattern in this record (Cu Kα).

Top 12 peaks for 10° ≤ 2θ ≤ 80°, by angle:
two_theta	d/Å	I/Imax	(hkl)
12.52	7.069	21	1 1 0
30.84	2.899	18	2 0 1
32.14	2.785	32	2 1 1
35.80	2.508	21	2 2 1
37.08	2.425	71	4 1 0
38.07	2.364	100	3 1 1
38.19	2.356	34	3 3 0
41.27	2.187	48	3 2 1
44.28	2.045	26	4 0 1
51.34	1.780	25	0 0 2
65.00	1.435	27	4 1 2
65.25	1.430	16	5 4 1

Structure:
```
data_Pr2AlGe2Rh5
_cell_length_a 9.998
_cell_length_b 9.998
_cell_length_c 3.559
_cell_angle_alpha 90.00
_cell_angle_beta 90.00
_cell_angle_gamma 90.00
_space_group_name_H-M_alt 'P 4/m b m'
_space_group_IT_number 127
_space_group_name_Hall '-P 4 2ab'
loop_
_atom_site_label
_atom_site_type_symbol
_atom_site_fract_x
_atom_site_fract_y
_atom_site_fract_z
Pr1 Pr 0.175 0.325 0.000
Al1 Al 0.000 0.000 0.000
Ge1 Ge 0.124 0.624 0.000
Rh1 Rh 0.000 0.500 0.500
Rh2 Rh 0.064 0.793 0.500
```

---

For FeRhAu, a DFT-relaxed cell (GGA-PBE, Alexandria) gives the theoretical PXRD pattern in this record (Cu Kα).

Top 12 peaks for 10° ≤ 2θ ≤ 80°, by angle:
two_theta	d/Å	I/Imax	(hkl)
15.70	5.645	6	0 2 0
23.76	3.745	10	1 1 0
31.70	2.822	8	0 4 0
32.74	2.735	16	1 1 1
39.96	2.256	100	1 3 1
45.29	2.002	18	0 0 2
45.71	1.985	18	2 0 0
48.37	1.882	13	0 6 0
66.31	1.410	11	2 0 2
66.81	1.400	7	1 7 1
68.42	1.371	9	0 6 2
68.74	1.366	9	2 6 0

Structure:
```
data_FeRhAu
_cell_length_a 3.970
_cell_length_b 11.290
_cell_length_c 4.004
_cell_angle_alpha 90.00
_cell_angle_beta 90.00
_cell_angle_gamma 90.00
_space_group_name_H-M_alt 'C m c m'
_space_group_IT_number 63
_space_group_name_Hall '-C 2c 2'
loop_
_atom_site_label
_atom_site_type_symbol
_atom_site_fract_x
_atom_site_fract_y
_atom_site_fract_z
Fe1 Fe 0.000 0.249 0.250
Rh1 Rh 0.000 0.400 0.750
Au1 Au 0.000 0.089 0.750
```